TbPu6Se8: theoretical PXRD pattern (λ = 1.5418 Å (Cu Kα)), based on a crystal structure in Alexandria, relaxed with PBE.
Kinematic intensities with the Lorentz-polarization factor, no thermal factor.

Principal peaks in the range 2θ = 5–70°, low angle first:
- 2θ = 15.11°, intensity 10
- 2θ = 21.43°, intensity 9
- 2θ = 26.32°, intensity 33
- 2θ = 30.49°, intensity 100
- 2θ = 43.66°, intensity 76
- 2θ = 51.70°, intensity 17
- 2θ = 54.18°, intensity 27
- 2θ = 63.45°, intensity 13

Structural model:
abc: 8.294 8.294 8.294
angles: 60.00 60.00 60.00
Element x y z (fractional)
1 Tb 0.000 0.000 0.000
2 Pu 0.000 0.000 0.500
3 Pu 0.000 0.500 0.000
4 Pu 0.000 0.500 0.500
5 Pu 0.500 0.000 0.000
6 Pu 0.500 0.000 0.500
7 Pu 0.500 0.500 0.000
8 Se 0.248 0.248 0.752
9 Se 0.248 0.752 0.248
10 Se 0.248 0.752 0.752
11 Se 0.250 0.250 0.250
12 Se 0.750 0.750 0.750
13 Se 0.752 0.248 0.248
14 Se 0.752 0.248 0.752
15 Se 0.752 0.752 0.248